For Li2TiCrO4, a cell relaxed with GGA+U gives the theoretical powder diffraction line list in this record (Cu Kα, 1.54184 Å).

Most intense lines, 2θ from 5° to 70°, low angle first:
2θ (°)	I/Imax
23.74	100
36.99	14
38.08	15
41.98	30
43.47	57
50.12	22
57.96	10
59.14	7
62.02	31
63.16	15

Atomic structure:
```
Li2TiCrO4
1.0
4.160 -8.609 0.000
4.160 8.609 0.000
-4.159 0.000 4.168
Li Ti Cr O
8 4 4 16
Cartesian
0.000 0.000 0.000
-2.079 2.144 4.167
2.080 4.306 2.084
0.000 -2.156 2.077
4.160 -0.008 0.000
6.239 2.144 0.001
2.080 -4.321 2.084
4.159 -2.156 2.091
-0.001 2.147 2.081
-2.067 -2.159 4.165
4.161 2.147 2.087
6.226 -2.159 0.003
2.080 8.603 2.084
4.160 4.296 0.000
2.080 -0.005 2.084
4.160 -4.305 0.000
0.008 4.109 2.166
2.080 6.534 2.084
4.160 6.350 0.000
0.081 0.183 2.092
2.072 -0.182 0.084
4.160 2.242 0.000
2.080 2.051 2.084
1.997 -4.130 0.008
4.152 4.109 2.002
2.080 -2.059 2.084
4.160 -2.233 0.000
4.079 0.183 2.076
2.088 -0.182 4.084
4.160 -6.375 0.000
2.080 -6.547 2.084
2.163 -4.130 4.160
```